Structure and computed X-ray powder pattern of K3LiIrO4 (a DFT-relaxed cell (PBE, the Materials Project); copper Kα).

Peak list (6 most intense, 2θ = 10–80°, in order of falling intensity)
2theta	d [Å]	I (rel.)
17.98	4.932	1000
31.41	2.848	880
21.19	4.192	582
16.87	5.255	433
24.78	3.593	390
27.87	3.201	384

Cell and atoms:
```
data_K3LiIrO4
_chemical_formula_sum 'K12 Li4 Ir4 O16'
_symmetry_space_group_name_H-M 'C 1 2/c 1'
_symmetry_Int_Tables_number 15
_cell_length_a 10.8325
_cell_length_b 9.8466
_cell_length_c 5.9923
_cell_angle_alpha 90.00
_cell_angle_beta 104.04
_cell_angle_gamma 90.00
loop_
_symmetry_equiv_pos_as_xyz
'x,y,z'
'-x,-y,-z'
'-x,y,-z+1/2'
'x,-y,z+1/2'
'x+1/2,y+1/2,z'
'-x+1/2,-y+1/2,-z'
'-x+1/2,y+1/2,-z+1/2'
'x+1/2,-y+1/2,z+1/2'
loop_
_atom_site_label
_atom_site_type_symbol
_atom_site_fract_x
_atom_site_fract_y
_atom_site_fract_z
K1 K 0.0000 0.0948 0.2500
K2 K 0.1547 0.4110 0.4739
Li1 Li 0.0000 0.2318 0.7500
Ir1 Ir 0.2500 0.2500 0.0000
O1 O 0.0891 0.3241 0.0301
O2 O 0.1579 0.1384 0.7463
```